(1)
Theoretical powder XRD pattern of Tm2InHg9 for copper Kα, from DFT lattice parameters and positions (GGA-PBE).
Kinematic intensities with the Lorentz-polarization factor, no thermal factor.

Largest 10 diffraction maxima, by angle, 5 to 70 degrees two-theta:
- 2θ 6.4, rel. 1
- 2θ 19.3, rel. 1
- 2θ 27.4, rel. 1
- 2θ 33.7, rel. 100
- 2θ 39.0, rel. 17
- 2θ 39.2, rel. 34
- 2θ 56.5, rel. 23
- 2θ 56.7, rel. 12
- 2θ 67.3, rel. 13
- 2θ 67.6, rel. 27

Crystal structure
Cell: 4.5946 4.5946 13.8634 Å, 90.00 90.00 90.00°
Sites, in units of the cell vectors:
Tm 0.0000 0.0000 0.1729
Tm 0.0000 0.0000 0.8271
In 0.0000 0.0000 0.5000
Hg 0.0000 0.5000 0.0000
Hg 0.0000 0.5000 0.3305
Hg 0.0000 0.5000 0.6695
Hg 0.5000 0.0000 0.0000
Hg 0.5000 0.0000 0.3305
Hg 0.5000 0.0000 0.6695
Hg 0.5000 0.5000 0.1601
Hg 0.5000 0.5000 0.5000
Hg 0.5000 0.5000 0.8399


(2)
Theoretical powder XRD pattern of Li5HgAu6 for copper Kα, from DFT lattice parameters and positions (GGA-PBE).
Kinematic intensities with the Lorentz-polarization factor, no thermal factor.

Largest 10 diffraction maxima, by angle, 5 to 70 degrees two-theta:
- 2θ 25.0, rel. 34
- 2θ 27.9, rel. 18
- 2θ 29.5, rel. 55
- 2θ 38.6, rel. 12
- 2θ 39.1, rel. 100
- 2θ 41.7, rel. 24
- 2θ 42.7, rel. 22
- 2θ 49.3, rel. 11
- 2θ 50.1, rel. 10
- 2θ 61.2, rel. 17

Crystal structure
Cell: 7.5960 7.5960 7.5960 Å, 146.89 124.09 66.54°
Sites, in units of the cell vectors:
Li 0.0000 0.0000 0.0000
Li 0.1785 0.6785 0.5000
Li 0.3461 0.3461 0.0000
Li 0.6539 0.6539 0.0000
Li 0.8215 0.3215 0.5000
Hg 0.5000 0.0000 0.5000
Au 0.0519 0.8273 0.2245
Au 0.2112 0.5000 0.7112
Au 0.3972 0.1727 0.2245
Au 0.6028 0.8273 0.7755
Au 0.7888 0.5000 0.2888
Au 0.9481 0.1727 0.7755


(3)
Theoretical powder XRD pattern of CdIn2F5 for copper Kα, from DFT lattice parameters and positions (GGA-PBE).
Kinematic intensities with the Lorentz-polarization factor, no thermal factor.

Largest 10 diffraction maxima, by angle, 5 to 70 degrees two-theta:
- 2θ 21.0, rel. 68
- 2θ 23.5, rel. 100
- 2θ 24.5, rel. 66
- 2θ 27.1, rel. 97
- 2θ 29.5, rel. 24
- 2θ 32.9, rel. 56
- 2θ 38.6, rel. 39
- 2θ 41.7, rel. 24
- 2θ 42.2, rel. 30
- 2θ 45.9, rel. 49

Crystal structure
Cell: 8.3792 12.1111 5.9198 Å, 90.00 90.00 90.00°
Sites, in units of the cell vectors:
Cd 0.0000 0.0710 0.2500
Cd 0.0000 0.9290 0.7500
Cd 0.5000 0.4290 0.7500
Cd 0.5000 0.5710 0.2500
In 0.1147 0.3525 0.5535
In 0.1147 0.6475 0.0535
In 0.3853 0.1475 0.0535
In 0.3853 0.8525 0.5535
In 0.6147 0.1475 0.4465
In 0.6147 0.8525 0.9465
In 0.8853 0.3525 0.9465
In 0.8853 0.6475 0.4465
F 0.0000 0.4303 0.2500
F 0.0000 0.5697 0.7500
F 0.1583 0.0573 0.9404
F 0.1583 0.9427 0.4404
F 0.1743 0.2096 0.3321
F 0.1743 0.7904 0.8321
F 0.3257 0.2904 0.8321
F 0.3257 0.7096 0.3321
F 0.3417 0.4427 0.4404
F 0.3417 0.5573 0.9404
F 0.5000 0.0697 0.7500
F 0.5000 0.9303 0.2500
F 0.6583 0.4427 0.0596
F 0.6583 0.5573 0.5596
F 0.6743 0.2904 0.6679
F 0.6743 0.7096 0.1679
F 0.8257 0.2096 0.1679
F 0.8257 0.7904 0.6679
F 0.8417 0.0573 0.5596
F 0.8417 0.9427 0.0596


(4)
Theoretical powder XRD pattern of Th3Sb2N for copper Kα, from DFT lattice parameters and positions (GGA-PBE).
Kinematic intensities with the Lorentz-polarization factor, no thermal factor.

Largest 10 diffraction maxima, by angle, 5 to 70 degrees two-theta:
- 2θ 25.7, rel. 93
- 2θ 29.1, rel. 33
- 2θ 29.3, rel. 93
- 2θ 30.5, rel. 99
- 2θ 31.3, rel. 99
- 2θ 31.9, rel. 36
- 2θ 34.4, rel. 100
- 2θ 38.1, rel. 55
- 2θ 40.4, rel. 37
- 2θ 48.3, rel. 35

Crystal structure
Cell: 7.1725 7.1725 6.4557 Å, 90.00 90.00 76.24°
Sites, in units of the cell vectors:
Th 0.1559 0.8441 0.7500
Th 0.3411 0.3411 0.0000
Th 0.3411 0.3411 0.5000
Th 0.6589 0.6589 0.0000
Th 0.6589 0.6589 0.5000
Th 0.8441 0.1559 0.2500
Sb 0.0419 0.6802 0.2500
Sb 0.3198 0.9581 0.2500
Sb 0.6802 0.0419 0.7500
Sb 0.9581 0.3198 0.7500
N 0.4217 0.5783 0.7500
N 0.5783 0.4217 0.2500


(5)
Theoretical powder XRD pattern of Li6Br7 for copper Kα, from DFT lattice parameters and positions (GGA-PBE).
Kinematic intensities with the Lorentz-polarization factor, no thermal factor.

Largest 10 diffraction maxima, by angle, 5 to 70 degrees two-theta:
- 2θ 7.9, rel. 77
- 2θ 14.8, rel. 100
- 2θ 23.8, rel. 64
- 2θ 25.7, rel. 26
- 2θ 29.4, rel. 50
- 2θ 29.8, rel. 67
- 2θ 34.8, rel. 48
- 2θ 36.4, rel. 28
- 2θ 41.8, rel. 29
- 2θ 57.9, rel. 31

Crystal structure
Cell: 11.9485 11.9485 11.9485 Å, 34.25 34.25 34.25°
Sites, in units of the cell vectors:
Li 0.0644 0.0644 0.0644
Li 0.2412 0.2412 0.2412
Li 0.3317 0.3317 0.3317
Li 0.6683 0.6683 0.6683
Li 0.7588 0.7588 0.7588
Li 0.9356 0.9356 0.9356
Br 0.0612 0.5525 0.5525
Br 0.4475 0.4475 0.9388
Br 0.4475 0.9388 0.4475
Br 0.5000 0.5000 0.5000
Br 0.5525 0.0612 0.5525
Br 0.5525 0.5525 0.0612
Br 0.9388 0.4475 0.4475


(6)
Theoretical powder XRD pattern of Mo2PdC for copper Kα, from DFT lattice parameters and positions (GGA-PBE).
Kinematic intensities with the Lorentz-polarization factor, no thermal factor.

Largest 10 diffraction maxima, by angle, 5 to 70 degrees two-theta:
- 2θ 34.5, rel. 37
- 2θ 35.4, rel. 18
- 2θ 38.6, rel. 97
- 2θ 39.7, rel. 43
- 2θ 40.9, rel. 100
- 2θ 46.6, rel. 10
- 2θ 49.8, rel. 13
- 2θ 57.1, rel. 12
- 2θ 61.3, rel. 40
- 2θ 69.7, rel. 17

Crystal structure
Cell: 7.0381 7.0381 7.0381 Å, 24.82 24.82 24.82°
Sites, in units of the cell vectors:
Mo 0.0000 0.0000 0.0000
Mo 0.2185 0.2185 0.2185
Pd 0.7761 0.7761 0.7761
C 0.6101 0.6101 0.6101


What did the sixth record say?
Theoretical powder XRD pattern of Mo2PdC for copper Kα, from DFT lattice parameters and positions (GGA-PBE).
Kinematic intensities with the Lorentz-polarization factor, no thermal factor.

Largest 10 diffraction maxima, by angle, 5 to 70 degrees two-theta:
- 2θ 34.5, rel. 37
- 2θ 35.4, rel. 18
- 2θ 38.6, rel. 97
- 2θ 39.7, rel. 43
- 2θ 40.9, rel. 100
- 2θ 46.6, rel. 10
- 2θ 49.8, rel. 13
- 2θ 57.1, rel. 12
- 2θ 61.3, rel. 40
- 2θ 69.7, rel. 17

Crystal structure
Cell: 7.0381 7.0381 7.0381 Å, 24.82 24.82 24.82°
Sites, in units of the cell vectors:
Mo 0.0000 0.0000 0.0000
Mo 0.2185 0.2185 0.2185
Pd 0.7761 0.7761 0.7761
C 0.6101 0.6101 0.6101